The following is a theoretical X-ray diffraction stick pattern of TlHg2Pb5. It was derived from a DFT-relaxed cell (GGA-PBE, Alexandria), using λ = 1.5418 Å (Cu Kα).
Intensities are scaled so that the largest is 1000.

```
TlHg2Pb5
1.0
4.9056 -4.8881 0.0000
4.9056 4.8881 0.0000
-4.8975 0.0000 4.9683
Tl Hg Pb
1 2 5
Cartesian
0.0000 0.0000 0.0000 Tl
2.4528 2.4440 0.0000 Hg
2.4528 -2.4440 0.0000 Hg
-2.4488 0.0000 2.4842 Pb
0.0040 2.4440 2.4842 Pb
0.0040 -2.4440 2.4842 Pb
4.9056 0.0000 0.0000 Pb
2.4568 0.0000 2.4842 Pb
```

The 8 most intense peaks (2θ = 10–90°), sorted by position:
2θ 31.49, I 1000; 2θ 36.16, I 174; 2θ 36.64, I 168; 2θ 36.77, I 167; 2θ 62.13, I 149; 2θ 62.77, I 145; 2θ 62.95, I 144; 2θ 65.74, I 127

***

The following is a theoretical X-ray diffraction stick pattern of PmAgSn. It was derived from a DFT-relaxed cell (GGA-PBE, Alexandria), using λ = 1.5418 Å (Cu Kα).
Intensities are scaled so that the largest is 1000.

```
PmAgSn
1.0
0.0000 3.4287 3.4287
3.4287 0.0000 3.4287
3.4287 3.4287 0.0000
Pm Ag Sn
1 1 1
Cartesian
0.0000 0.0000 0.0000 Pm
5.1430 5.1430 5.1430 Ag
3.4287 3.4287 3.4287 Sn
```

The 8 most intense peaks (2θ = 10–90°), sorted by position:
2θ 22.46, I 226; 2θ 25.99, I 208; 2θ 37.08, I 1000; 2θ 43.78, I 112; 2θ 53.45, I 173; 2θ 60.37, I 88; 2θ 66.84, I 354; 2θ 78.98, I 112